This entry pairs a crystal structure of Au3I4 with its theoretical X-ray diffraction stick pattern. Radiation: Cu Ka. Structure: the PBE geometry in OQMD.
No peak broadening, texture or thermal motion is included.

The 10 most intense peaks (15° ≤ 2θ ≤ 90°), by angle:
Position (°2θ), d [Å], I_rel, h k l
20.15, 4.407, 15, 1 1 0
24.74, 3.598, 100, 1 1 1
32.09, 2.789, 11, 1 0 2
35.28, 2.544, 11, 2 1 1
40.96, 2.203, 77, 2 2 0
48.34, 1.883, 16, 1 1 3
48.49, 1.877, 31, 3 1 1
59.40, 1.556, 8, 4 0 0
65.22, 1.431, 13, 3 1 3
74.66, 1.271, 16, 4 2 2

Atomic structure:
```
Au3I4
1.0
6.224 0.000 0.000
0.000 6.224 0.000
0.000 0.000 6.249
Au I
3 4
direct
0.000 0.000 0.000
0.000 0.500 0.500
0.500 0.000 0.500
0.268 0.268 0.767
0.268 0.732 0.233
0.732 0.268 0.233
0.732 0.732 0.767
```